Starting from a crystal structure in the Materials Project, relaxed with GGA+U, the powder diffractogram of Li2TiCr3O8 was calculated for copper Kα.
Peak positions follow from Bragg's law for the DFT cell and can differ from measured ones.

Most intense lines, 2θ = 10–90°, sorted by position:
hkl	2θ/deg	I/Imax
0 0 2	18.81	71
1 0 1	19.75	100
1 1 2	35.89	47
2 0 1	36.42	55
2 0 3	45.74	64
2 0 5	61.04	46

Crystal structure
```
data_Li2TiCr3O8
_cell_length_a 5.9024
_cell_length_b 5.9024
_cell_length_c 9.4352
_cell_angle_alpha 90.00
_cell_angle_beta 90.00
_cell_angle_gamma 120.00
_space_group_name_H-M_alt 'P 63 m c'
_space_group_IT_number 186
_space_group_name_Hall 'P 6c -2c'
loop_
_atom_site_label
_atom_site_fract_x
_atom_site_fract_y
_atom_site_fract_z
_atom_site_occupancy
Li1 0.0000 0.0000 0.0000 1
Li2 0.3333 0.6667 0.3961 1
Ti1 0.3333 0.6667 0.0031 1
Cr1 0.1719 0.3437 0.7221 1
O1 0.0000 0.0000 0.3067 1
O2 0.0402 0.5201 0.8473 1
O3 0.1675 0.3350 0.1015 1
O4 0.3333 0.6667 0.6094 1
```